Starting from a structure optimized by DFT (GGA-PBE), the XRD peak list of TbPr5Mg was calculated for λ = 1.5418 Å (Cu Kα).

Largest 10 diffraction maxima, by angle, 2θ = 10–90°:
18.03 deg, intensity 15, hkl 1 1 -2
28.39 deg, intensity 22, hkl 2 2 0
30.96 deg, intensity 54, hkl 1 1 3
31.40 deg, intensity 50, hkl 2 0 -4
31.58 deg, intensity 48, hkl 2 2 1
31.70 deg, intensity 100, hkl 1 3 -2
32.01 deg, intensity 53, hkl 3 1 -1
44.36 deg, intensity 17, hkl 0 2 5
45.42 deg, intensity 16, hkl 2 4 1
56.10 deg, intensity 23, hkl 3 3 -6

Crystal structure
Cell: 8.8247 9.7502 12.0572 Å, 90.00 111.15 90.00°
Space group C2/c (No. 15)
Inequivalent atoms, fractional coordinates:
Tb 0.0000 0.0057 0.2500 (multiplicity 4)
Pr 0.0000 0.3627 0.2500 (multiplicity 4)
Pr 0.1147 0.1583 0.5362 (multiplicity 8)
Pr 0.2066 0.3132 0.8441 (multiplicity 8)
Mg 0.0000 0.5000 0.0000 (multiplicity 4)